Record 1
Simulated powder diffraction line list of Tl3Os for λ = 1.5418 Å (Cu Kα), from the PBE geometry in the Materials Project.

Principal peaks in the range 10° ≤ 2θ ≤ 90°, by intensity:
- d 2.428, 2θ 37.03, rel. 100
- d 2.723, 2θ 32.90, rel. 31
- d 1.508, 2θ 61.47, rel. 23
- d 2.712, 2θ 33.03, rel. 23
- d 1.357, 2θ 69.21, rel. 22
- d 1.566, 2θ 58.98, rel. 17
- d 1.922, 2θ 47.31, rel. 17
- d 1.316, 2θ 71.72, rel. 15

Crystal structure
```
Tl3Os
1.0
6.2638 0.0000 0.0000
-3.1319 5.4246 0.0000
0.0000 0.0000 5.4452
Tl Os
6 2
Direct
0.1719 0.3438 0.2500
0.1719 0.8281 0.2500
0.3438 0.1719 0.7500
0.6562 0.8281 0.2500
0.8281 0.1719 0.7500
0.8281 0.6562 0.7500
0.3333 0.6667 0.7500
0.6667 0.3333 0.2500
```

=====

Record 2
Simulated powder diffraction line list of PrLuS3 for λ = 1.5418 Å (Cu Kα), from the PBE geometry in the Materials Project.

Principal peaks in the range 10° ≤ 2θ ≤ 90°, by intensity:
- d 3.938, 2θ 22.58, rel. 100
- d 2.729, 2θ 32.82, rel. 40
- d 2.467, 2θ 36.42, rel. 29
- d 2.458, 2θ 36.56, rel. 28
- d 3.422, 2θ 26.04, rel. 24
- d 1.962, 2θ 46.28, rel. 21
- d 1.711, 2θ 53.57, rel. 20
- d 2.076, 2θ 43.59, rel. 18

Crystal structure
```
PrLuS3
1.0
1.8995 -6.3988 0.0000
1.8995 6.3988 0.0000
0.0000 0.0000 9.9928
Pr Lu S
2 2 6
Direct
0.0000 0.0000 0.0000
0.0000 0.0000 0.5000
0.2438 0.7562 0.7500
0.7562 0.2438 0.2500
0.1101 0.8899 0.2500
0.3513 0.6487 0.0843
0.3513 0.6487 0.4157
0.6487 0.3513 0.5843
0.6487 0.3513 0.9157
0.8899 0.1101 0.7500
```

=====

Record 3
Simulated powder diffraction line list of Hf5CoSn3 for λ = 1.5418 Å (Cu Kα), from the PBE geometry in the Materials Project.

Principal peaks in the range 10° ≤ 2θ ≤ 90°, by intensity:
- d 2.539, 2θ 35.35, rel. 100
- d 2.405, 2θ 37.40, rel. 87
- d 2.492, 2θ 36.05, rel. 52
- d 2.825, 2θ 31.67, rel. 25
- d 1.594, 2θ 57.85, rel. 25
- d 1.730, 2θ 52.92, rel. 23
- d 1.631, 2θ 56.41, rel. 14
- d 1.570, 2θ 58.81, rel. 14

Crystal structure
```
Hf5CoSn3
1.0
8.6316 0.0000 0.0000
-4.3158 7.4752 0.0000
0.0000 0.0000 5.7918
Hf Co Sn
10 2 6
Direct
0.0000 0.2456 0.2500
0.0000 0.7544 0.7500
0.2456 0.0000 0.2500
0.2456 0.2456 0.7500
0.3333 0.6667 0.0000
0.3333 0.6667 0.5000
0.6667 0.3333 0.0000
0.6667 0.3333 0.5000
0.7544 0.0000 0.7500
0.7544 0.7544 0.2500
0.0000 0.0000 0.0000
0.0000 0.0000 0.5000
0.0000 0.3980 0.7500
0.0000 0.6020 0.2500
0.3980 0.0000 0.7500
0.3980 0.3980 0.2500
0.6020 0.0000 0.2500
0.6020 0.6020 0.7500
```

=====

Record 4
Simulated powder diffraction line list of Rb4Pb9 for λ = 1.5418 Å (Cu Kα), from the PBE geometry in the Materials Project.

Principal peaks in the range 10° ≤ 2θ ≤ 90°, by intensity:
- d 7.804, 2θ 11.34, rel. 100
- d 3.488, 2θ 25.54, rel. 54
- d 2.844, 2θ 31.46, rel. 48
- d 7.717, 2θ 11.47, rel. 48
- d 6.975, 2θ 12.69, rel. 36
- d 3.363, 2θ 26.51, rel. 34
- d 2.911, 2θ 30.72, rel. 33
- d 3.453, 2θ 25.80, rel. 29

Crystal structure
```
Rb4Pb9
1.0
10.2030 0.0000 0.0000
0.0000 13.7088 0.0000
-3.8123 0.0000 16.2042
Rb Pb
16 36
Direct
0.0503 0.0031 0.3703
0.0503 0.4969 0.3703
0.1168 0.2500 0.2058
0.2590 0.2500 0.5674
0.3254 0.5985 0.9091
0.3254 0.9015 0.9091
0.3825 0.5764 0.2130
0.3825 0.9236 0.2130
0.6175 0.0764 0.7870
0.6175 0.4236 0.7870
0.6746 0.0985 0.0909
0.6746 0.4015 0.0909
0.7410 0.7500 0.4326
0.8832 0.7500 0.7942
0.9497 0.5031 0.6297
0.9497 0.9969 0.6297
0.0015 0.0604 0.8780
0.0015 0.4396 0.8780
0.0560 0.7500 0.0311
0.0588 0.7500 0.2416
0.1447 0.7500 0.4979
0.1803 0.7500 0.6906
0.2269 0.1349 0.7852
0.2269 0.3651 0.7852
0.2396 0.1347 0.0229
0.2396 0.3653 0.0229
0.3131 0.5679 0.6235
0.3131 0.9321 0.6235
0.3894 0.6320 0.4536
0.3894 0.8680 0.4536
0.3902 0.1307 0.3803
0.3902 0.3693 0.3803
0.4282 0.2500 0.9259
0.4948 0.7500 0.7528
0.5052 0.2500 0.2472
0.5718 0.7500 0.0741
0.6098 0.6307 0.6197
0.6098 0.8693 0.6197
0.6106 0.1320 0.5464
0.6106 0.3680 0.5464
0.6869 0.0679 0.3765
0.6869 0.4321 0.3765
0.7604 0.6347 0.9771
0.7604 0.8653 0.9771
0.7731 0.6349 0.2148
0.7731 0.8651 0.2148
0.8197 0.2500 0.3094
0.8553 0.2500 0.5021
0.9412 0.2500 0.7584
0.9440 0.2500 0.9689
0.9985 0.5604 0.1220
0.9985 0.9396 0.1220
```

=====

Record 5
Simulated powder diffraction line list of ScH3Br3N for λ = 1.5418 Å (Cu Kα), from the PBE geometry in the Materials Project.

Principal peaks in the range 10° ≤ 2θ ≤ 90°, by intensity:
- d 3.066, 2θ 29.13, rel. 100
- d 3.216, 2θ 27.74, rel. 91
- d 2.915, 2θ 30.67, rel. 66
- d 7.688, 2θ 11.51, rel. 53
- d 2.397, 2θ 37.52, rel. 49
- d 3.206, 2θ 27.83, rel. 47
- d 3.051, 2θ 29.27, rel. 39
- d 6.436, 2θ 13.76, rel. 36

Crystal structure
```
ScH3Br3N
1.0
7.6662 0.0000 0.0000
1.5633 9.6591 0.0000
2.2727 2.5995 9.2816
Sc H Br N
4 12 12 4
Direct
0.0786 0.1952 0.4404
0.3977 0.3079 0.0524
0.6023 0.6921 0.9476
0.9214 0.8048 0.5596
0.2222 0.7605 0.0082
0.2399 0.2602 0.6458
0.2462 0.4003 0.5036
0.2982 0.7609 0.1504
0.3120 0.9019 0.0090
0.3957 0.2595 0.5011
0.6043 0.7405 0.4989
0.6880 0.0981 0.9910
0.7018 0.2391 0.8496
0.7538 0.5997 0.4964
0.7601 0.7398 0.3542
0.7778 0.2395 0.9918
0.0922 0.4144 0.2023
0.0982 0.9602 0.6606
0.2054 0.6813 0.4361
0.2379 0.1856 0.9269
0.3954 0.0909 0.2910
0.4155 0.5473 0.8357
0.5845 0.4527 0.1643
0.6046 0.9091 0.7090
0.7621 0.8144 0.0731
0.7946 0.3187 0.5639
0.9018 0.0398 0.3394
0.9078 0.5856 0.7977
0.2621 0.2895 0.5349
0.3252 0.7912 0.0394
0.6748 0.2088 0.9606
0.7379 0.7105 0.4651
```